Structure and computed X-ray powder pattern of AcLa4Pt (a DFT-relaxed cell (GGA-PBE, Alexandria); Cu Ka).

Main lines, low angle first (15° ≤ 2θ ≤ 90°):
2theta	intensity	(hkl)
28.2	28	2 2 0
29.3	85	5 1 0
29.5	100	2 2 -1
29.7	65	1 1 2
37.8	27	7 1 -1
38.1	31	4 2 -2
41.4	26	6 2 0
46.0	50	3 3 1

Cell and atoms:
a b c (Å): 17.7786 6.8287 7.5700
angles (deg): 90.00 106.87 90.00
Space group C2/c (No. 15)
Symmetry-distinct sites (fractional):
1 Ac 0.0000 0.0411 0.2500 x4
2 La 0.0955 0.4074 0.0180 x8
3 La 0.1884 0.0981 0.6280 x8
4 Pt 0.2500 0.2500 0.0000 x4